Simulated powder X-ray diffraction pattern of K4BaTa6Si4O26 for λ = 1.5418 Å (Cu Kα), from a DFT-relaxed cell (PBE, Alexandria).
Intensities are scaled so that the largest is 100.

Main lines, in order of rising 2θ (5 to 70 degrees two-theta):
2theta  I/Imax
11.1  69
19.4  54
22.6  54
25.2  32
29.6  50
29.8  95
29.9  100
37.7  38
51.4  26
55.8  35

Structure:
```
data_K4BaTa6Si4O26
_cell_length_a 7.866
_cell_length_b 9.162
_cell_length_c 9.162
_cell_angle_alpha 119.61
_cell_angle_beta 90.00
_cell_angle_gamma 90.00
_symmetry_space_group_name_H-M 'P 1'
_symmetry_Int_Tables_number 1
loop_
_symmetry_equiv_pos_as_xyz
'x,y,z'
loop_
_atom_site_label
_atom_site_type_symbol
_atom_site_fract_x
_atom_site_fract_y
_atom_site_fract_z
K1 K 0.000 0.198 0.802
K2 K 0.000 0.802 0.198
K3 K 0.500 0.196 0.793
K4 K 0.500 0.793 0.196
Ba1 Ba 0.500 0.593 0.593
Ta1 Ta 0.248 0.195 0.435
Ta2 Ta 0.248 0.435 0.195
Ta3 Ta 0.250 0.961 0.961
Ta4 Ta 0.750 0.961 0.961
Ta5 Ta 0.752 0.195 0.435
Ta6 Ta 0.752 0.435 0.195
Si1 Si 0.208 0.532 0.860
Si2 Si 0.208 0.860 0.532
Si3 Si 0.792 0.532 0.860
Si4 Si 0.792 0.860 0.532
O1 O 0.000 0.196 0.469
O2 O 0.000 0.469 0.196
O3 O 0.000 0.533 0.860
O4 O 0.000 0.860 0.533
O5 O 0.000 0.931 0.931
O6 O 0.234 0.020 0.198
O7 O 0.234 0.198 0.020
O8 O 0.241 0.370 0.370
O9 O 0.268 0.014 0.503
O10 O 0.268 0.503 0.014
O11 O 0.278 0.381 0.682
O12 O 0.278 0.682 0.381
O13 O 0.280 0.711 0.890
O14 O 0.280 0.890 0.711
O15 O 0.500 0.198 0.431
O16 O 0.500 0.431 0.198
O17 O 0.500 0.970 0.970
O18 O 0.720 0.711 0.890
O19 O 0.720 0.890 0.711
O20 O 0.722 0.381 0.682
O21 O 0.722 0.682 0.381
O22 O 0.732 0.014 0.503
O23 O 0.732 0.503 0.014
O24 O 0.759 0.370 0.370
O25 O 0.766 0.020 0.198
O26 O 0.766 0.198 0.020
```

---

Simulated powder X-ray diffraction pattern of K2BaSnO4 for λ = 1.5418 Å (Cu Kα), from a DFT-relaxed cell (PBE, Alexandria).
Intensities are scaled so that the largest is 100.

Main lines, in order of rising 2θ (5 to 70 degrees two-theta):
2theta  I/Imax
14.3  59
15.0  41
28.1  18
28.9  85
30.3  71
33.1  51
34.9  100
48.9  63
58.1  27
60.6  22

Structure:
```
data_K2BaSnO4
_cell_length_a 7.472
_cell_length_b 7.472
_cell_length_c 7.472
_cell_angle_alpha 123.88
_cell_angle_beta 119.50
_cell_angle_gamma 87.14
_symmetry_space_group_name_H-M 'P 1'
_symmetry_Int_Tables_number 1
loop_
_symmetry_equiv_pos_as_xyz
'x,y,z'
loop_
_atom_site_label
_atom_site_type_symbol
_atom_site_fract_x
_atom_site_fract_y
_atom_site_fract_z
K1 K 0.000 0.000 0.000
K2 K 0.500 0.000 0.000
K3 K 0.500 0.000 0.500
K4 K 0.500 0.500 0.500
Ba1 Ba 0.000 0.500 0.500
Ba2 Ba 0.500 0.500 0.000
Sn1 Sn 0.000 0.000 0.500
Sn2 Sn 0.000 0.500 0.000
O1 O 0.190 0.195 0.505
O2 O 0.190 0.686 0.995
O3 O 0.197 0.749 0.448
O4 O 0.199 0.251 0.948
O5 O 0.801 0.749 0.052
O6 O 0.803 0.251 0.552
O7 O 0.810 0.314 0.005
O8 O 0.810 0.805 0.495
```

---

Simulated powder X-ray diffraction pattern of KBa4Sn3O12 for λ = 1.5418 Å (Cu Kα), from a DFT-relaxed cell (PBE, Alexandria).
Intensities are scaled so that the largest is 100.

Main lines, in order of rising 2θ (5 to 70 degrees two-theta):
2theta  I/Imax
14.4  6
25.1  3
29.0  100
35.7  5
38.7  1
41.5  31
51.4  41
53.7  1
60.1  20
68.1  19

Structure:
```
data_KBa4Sn3O12
_cell_length_a 7.540
_cell_length_b 7.540
_cell_length_c 7.540
_cell_angle_alpha 109.47
_cell_angle_beta 109.47
_cell_angle_gamma 109.47
_symmetry_space_group_name_H-M 'P 1'
_symmetry_Int_Tables_number 1
loop_
_symmetry_equiv_pos_as_xyz
'x,y,z'
loop_
_atom_site_label
_atom_site_type_symbol
_atom_site_fract_x
_atom_site_fract_y
_atom_site_fract_z
K1 K 0.000 0.000 0.000
Ba1 Ba 0.000 0.000 0.500
Ba2 Ba 0.000 0.500 0.000
Ba3 Ba 0.500 0.000 0.000
Ba4 Ba 0.500 0.500 0.500
Sn1 Sn 0.000 0.500 0.500
Sn2 Sn 0.500 0.000 0.500
Sn3 Sn 0.500 0.500 0.000
O1 O 0.000 0.275 0.275
O2 O 0.000 0.725 0.725
O3 O 0.250 0.500 0.750
O4 O 0.250 0.750 0.500
O5 O 0.275 0.000 0.275
O6 O 0.275 0.275 0.000
O7 O 0.500 0.250 0.750
O8 O 0.500 0.750 0.250
O9 O 0.725 0.000 0.725
O10 O 0.725 0.725 0.000
O11 O 0.750 0.250 0.500
O12 O 0.750 0.500 0.250
```

---

Simulated powder X-ray diffraction pattern of KBaTcO4 for λ = 1.5418 Å (Cu Kα), from a DFT-relaxed cell (PBE, Alexandria).
Intensities are scaled so that the largest is 100.

Main lines, in order of rising 2θ (5 to 70 degrees two-theta):
2theta  I/Imax
15.7  10
18.2  65
25.8  100
31.8  21
36.9  11
41.4  23
45.6  40
53.1  17
56.6  14
60.0  16

Structure:
```
data_KBaTcO4
_cell_length_a 6.894
_cell_length_b 6.894
_cell_length_c 6.894
_cell_angle_alpha 60.00
_cell_angle_beta 60.00
_cell_angle_gamma 60.00
_symmetry_space_group_name_H-M 'P 1'
_symmetry_Int_Tables_number 1
loop_
_symmetry_equiv_pos_as_xyz
'x,y,z'
loop_
_atom_site_label
_atom_site_type_symbol
_atom_site_fract_x
_atom_site_fract_y
_atom_site_fract_z
K1 K 0.000 0.000 0.000
Ba1 Ba 0.750 0.750 0.750
Tc1 Tc 0.250 0.250 0.250
O1 O 0.144 0.144 0.144
O2 O 0.144 0.144 0.569
O3 O 0.144 0.569 0.144
O4 O 0.569 0.144 0.144
```

---

Simulated powder X-ray diffraction pattern of KBaU2O7 for λ = 1.5418 Å (Cu Kα), from a DFT-relaxed cell (PBE, Alexandria).
Intensities are scaled so that the largest is 100.

Main lines, in order of rising 2θ (5 to 70 degrees two-theta):
2theta  I/Imax
7.8  100
20.8  46
23.6  33
28.4  83
29.0  38
30.1  21
34.4  18
41.5  28
49.9  23
51.0  35

Structure:
```
data_KBaU2O7
_cell_length_a 11.781
_cell_length_b 11.781
_cell_length_c 11.781
_cell_angle_alpha 158.71
_cell_angle_beta 158.71
_cell_angle_gamma 30.29
_symmetry_space_group_name_H-M 'P 1'
_symmetry_Int_Tables_number 1
loop_
_symmetry_equiv_pos_as_xyz
'x,y,z'
loop_
_atom_site_label
_atom_site_type_symbol
_atom_site_fract_x
_atom_site_fract_y
_atom_site_fract_z
K1 K 0.000 0.000 0.000
Ba1 Ba 0.250 0.750 0.500
U1 U 0.653 0.153 0.500
U2 U 0.847 0.347 0.500
O1 O 0.164 0.164 0.000
O2 O 0.334 0.334 0.000
O3 O 0.569 0.069 0.500
O4 O 0.666 0.666 0.000
O5 O 0.750 0.250 0.500
O6 O 0.836 0.836 0.000
O7 O 0.931 0.431 0.500
```